# 1
This entry pairs a crystal structure of Pm15ErTl4 with its calculated PXRD pattern. Radiation: CuKα. Structure: a DFT-relaxed cell (PBE, Alexandria).
No peak broadening, texture or thermal motion is included.

Main lines, in order of rising 2θ (10° ≤ 2θ ≤ 90°):
| 2θ (°) | Rel. int. |
| --- | --- |
| 31.01 | 100 |
| 35.45 | 17 |
| 36.22 | 33 |
| 51.58 | 24 |
| 52.16 | 12 |
| 60.90 | 14 |
| 61.93 | 28 |
| 64.65 | 13 |
| 84.27 | 11 |
| 87.61 | 6 |

Cell and atoms:
```
Pm15ErTl4
1.0
4.9600 0.0000 0.0000
0.0000 4.9600 0.0000
0.0000 0.0000 25.3244
Pm Er Tl
15 1 4
direct
0.0000 0.0000 0.0000
0.0000 0.0000 0.2035
0.0000 0.0000 0.4015
0.0000 0.0000 0.5985
0.0000 0.0000 0.7965
0.0000 0.5000 0.1040
0.0000 0.5000 0.3026
0.0000 0.5000 0.5000
0.0000 0.5000 0.6974
0.0000 0.5000 0.8960
0.5000 0.0000 0.1040
0.5000 0.0000 0.3026
0.5000 0.0000 0.5000
0.5000 0.0000 0.6974
0.5000 0.0000 0.8960
0.5000 0.5000 0.0000
0.5000 0.5000 0.2056
0.5000 0.5000 0.4015
0.5000 0.5000 0.5985
0.5000 0.5000 0.7944
```

***

# 2
This entry pairs a crystal structure of TbTlNi with its calculated PXRD pattern. Radiation: CuKα. Structure: a DFT-relaxed cell (PBE, Alexandria).
No peak broadening, texture or thermal motion is included.

Main lines, in order of rising 2θ (10° ≤ 2θ ≤ 90°):
| 2θ (°) | Rel. int. |
| --- | --- |
| 29.22 | 18 |
| 33.51 | 100 |
| 34.17 | 34 |
| 35.63 | 50 |
| 36.19 | 52 |
| 40.60 | 26 |
| 43.36 | 17 |
| 48.98 | 22 |
| 62.02 | 20 |
| 66.03 | 20 |

Cell and atoms:
```
TbTlNi
1.0
13.3188 0.0000 0.0000
0.0000 3.7197 0.0000
0.0000 0.0000 7.7069
Tb Tl Ni
6 6 6
direct
0.0464 0.0000 0.2193
0.2500 0.0000 0.8516
0.4536 0.0000 0.2193
0.5464 0.0000 0.7807
0.7500 0.0000 0.1484
0.9536 0.0000 0.7807
0.1181 0.5000 0.5772
0.2500 0.5000 0.1878
0.3819 0.5000 0.5772
0.6181 0.5000 0.4228
0.7500 0.5000 0.8122
0.8819 0.5000 0.4228
0.0886 0.5000 0.9442
0.2500 0.0000 0.4485
0.4114 0.5000 0.9442
0.5886 0.5000 0.0558
0.7500 0.0000 0.5515
0.9114 0.5000 0.0558
```

***

# 3
This entry pairs a crystal structure of Tb2Nd12Dy with its calculated PXRD pattern. Radiation: CuKα. Structure: a DFT-relaxed cell (PBE, Alexandria).
No peak broadening, texture or thermal motion is included.

Main lines, in order of rising 2θ (10° ≤ 2θ ≤ 90°):
| 2θ (°) | Rel. int. |
| --- | --- |
| 28.54 | 28 |
| 29.29 | 47 |
| 29.99 | 67 |
| 30.69 | 68 |
| 31.06 | 20 |
| 32.47 | 100 |
| 36.34 | 36 |
| 55.71 | 20 |
| 57.34 | 20 |
| 60.34 | 20 |

Cell and atoms:
```
Tb2Nd12Dy
1.0
3.6087 -5.8257 0.0000
3.6087 5.8257 0.0000
0.0000 0.0000 25.0555
Tb Nd Dy
4 24 2
direct
0.2500 0.7500 0.2334
0.2500 0.7500 0.7712
0.7500 0.2500 0.2288
0.7500 0.2500 0.7666
0.0015 0.5015 0.6295
0.0017 0.9983 0.4263
0.0196 0.5196 0.0849
0.0240 0.9760 0.9397
0.2500 0.2500 0.1754
0.2500 0.2500 0.3015
0.2500 0.2500 0.6985
0.2500 0.2500 0.8246
0.4760 0.5240 0.9397
0.4804 0.9804 0.0849
0.4983 0.5017 0.4263
0.4985 0.9985 0.6295
0.5015 0.0015 0.3705
0.5017 0.4983 0.5737
0.5196 0.0196 0.9151
0.5240 0.4760 0.0603
0.7500 0.7500 0.1754
0.7500 0.7500 0.3015
0.7500 0.7500 0.6985
0.7500 0.7500 0.8246
0.9760 0.0240 0.0603
0.9804 0.4804 0.9151
0.9983 0.0017 0.5737
0.9985 0.4985 0.3705
0.2500 0.7500 0.5007
0.7500 0.2500 0.4993
```

***

# 4
This entry pairs a crystal structure of Li4GaAu7 with its calculated PXRD pattern. Radiation: CuKα. Structure: a DFT-relaxed cell (PBE, Alexandria).
No peak broadening, texture or thermal motion is included.

Main lines, in order of rising 2θ (10° ≤ 2θ ≤ 90°):
| 2θ (°) | Rel. int. |
| --- | --- |
| 20.34 | 25 |
| 20.92 | 16 |
| 25.66 | 100 |
| 35.55 | 39 |
| 36.26 | 41 |
| 39.52 | 45 |
| 40.70 | 22 |
| 42.24 | 15 |
| 42.84 | 22 |
| 51.69 | 27 |

Cell and atoms:
```
Li4GaAu7
1.0
5.1494 -2.4774 0.0000
5.1494 2.4774 0.0000
-4.3117 0.0000 8.7303
Li Ga Au
4 1 7
direct
0.1006 0.1006 0.2728
0.3118 0.3118 0.8669
0.6882 0.6882 0.1331
0.8994 0.8994 0.7272
0.5000 0.5000 0.5000
0.0000 0.0000 0.5000
0.1351 0.1351 0.0053
0.2900 0.2900 0.5856
0.4276 0.4276 0.1899
0.5724 0.5724 0.8101
0.7100 0.7100 0.4144
0.8649 0.8649 0.9947
```